This entry pairs a crystal structure of Na3In with its calculated PXRD pattern. Radiation: Cu Kα X-rays. Structure: a structure optimized by DFT (PBE).
Lines closer than 0.1° are merged.

Main lines, by intensity (15° ≤ 2θ ≤ 90°):
31.5°, d = 2.841 Å, rel. 1000, (1 1 2)
20.2°, d = 4.387 Å, rel. 698, (1 0 1)
36.8°, d = 2.441 Å, rel. 325, (2 0 0)
63.0°, d = 1.475 Å, rel. 309, (3 1 2)
17.7°, d = 4.997 Å, rel. 237, (0 0 2)
52.4°, d = 1.746 Å, rel. 224, (2 0 4)
32.5°, d = 2.752 Å, rel. 214, (1 0 3)
42.4°, d = 2.133 Å, rel. 206, (2 1 1)
25.8°, d = 3.453 Å, rel. 194, (1 1 0)
35.9°, d = 2.499 Å, rel. 174, (0 0 4)

Crystal structure
a b c (Å): 4.883 4.883 9.995
angles (deg): 90.00 90.00 90.00
Space group I4/mmm (No. 139)
Asymmetric unit:
Na 0.000 0.000 0.000 (multiplicity 2)
Na 0.000 0.500 0.250 (multiplicity 4)
In 0.000 0.000 0.500 (multiplicity 2)